Simulated powder XRD pattern
Compound: NiPRhO2
Radiation: CuKα
Structure: a crystal structure in Alexandria, relaxed with PBE+U
No peak broadening, texture or thermal motion is included.

Structure:
a = 3.726 Å, b = 3.726 Å, c = 5.239 Å
α = 90.00°, β = 90.00°, γ = 90.00°
Sites, in units of the cell vectors:
Ni1 0.000 0.000 0.000
P1 0.500 0.500 0.000
Rh1 0.500 0.500 0.500
O1 0.000 0.500 0.500
O2 0.500 0.000 0.500

Top 10 peaks for 2θ = 10–90°, in order of falling intensity:
- d = 3.036 Å, rel. 100, (1 0 1)
- d = 2.635 Å, rel. 49, (1 1 0)
- d = 2.619 Å, rel. 47, (0 0 2)
- d = 1.858 Å, rel. 35, (1 1 2)
- d = 1.863 Å, rel. 32, (2 0 0)
- d = 1.518 Å, rel. 31, (2 0 2)
- d = 1.588 Å, rel. 28, (2 1 1)
- d = 3.726 Å, rel. 23, (1 0 0)
- d = 1.581 Å, rel. 14, (1 0 3)
- d = 1.177 Å, rel. 13, (2 2 2)